(1)
Diffraction record for CaLa3Ru. The powder XRD pattern is calculated, not measured: it uses the PBE geometry in Alexandria and Cu Ka.

Peak list (10 most intense, 2θ = 10–90°, in order of rising 2θ)
Position (°2θ)	I_rel
13.06	28
13.67	19
20.35	13
27.06	21
27.47	59
31.71	100
45.15	24
45.26	12
45.76	24
53.89	13

Crystal structure
a = 7.9318 Å, b = 7.9318 Å, c = 6.9810 Å
α = 106.59°, β = 106.59°, γ = 60.15°
Atoms (fractional coordinates):
Ca 0.1113 0.8887 0.5000
Ca 0.8887 0.1113 0.0000
La 0.1255 0.3782 0.5050
La 0.3782 0.1255 0.0050
La 0.3900 0.6184 0.0085
La 0.6184 0.3900 0.5085
La 0.6187 0.8744 0.5110
La 0.8744 0.6187 0.0110
Ru 0.4862 0.7797 0.7796
Ru 0.7797 0.4862 0.2796

(2)
Diffraction record for BaAgAsS4. The powder XRD pattern is calculated, not measured: it uses the PBE geometry in Alexandria and Cu Ka.

Peak list (10 most intense, 2θ = 10–90°, in order of rising 2θ)
Position (°2θ)	I_rel
16.15	41
17.45	29
24.77	29
27.36	100
32.64	17
35.32	30
39.65	13
45.25	44
49.87	29
57.33	12

Crystal structure
a = 6.6242 Å, b = 6.6242 Å, c = 6.6242 Å
α = 114.29°, β = 114.29°, γ = 100.21°
Atoms (fractional coordinates):
Ba 0.0000 0.0000 0.0000
Ag 0.5000 0.5000 0.0000
As 0.7500 0.2500 0.5000
S 0.0935 0.5257 0.8796
S 0.4743 0.3539 0.5679
S 0.6461 0.2140 0.1204
S 0.7860 0.9065 0.4321

Please write out number 1 again, unchanged.
Diffraction record for CaLa3Ru. The powder XRD pattern is calculated, not measured: it uses the PBE geometry in Alexandria and Cu Ka.

Peak list (10 most intense, 2θ = 10–90°, in order of rising 2θ)
Position (°2θ)	I_rel
13.06	28
13.67	19
20.35	13
27.06	21
27.47	59
31.71	100
45.15	24
45.26	12
45.76	24
53.89	13

Crystal structure
a = 7.9318 Å, b = 7.9318 Å, c = 6.9810 Å
α = 106.59°, β = 106.59°, γ = 60.15°
Atoms (fractional coordinates):
Ca 0.1113 0.8887 0.5000
Ca 0.8887 0.1113 0.0000
La 0.1255 0.3782 0.5050
La 0.3782 0.1255 0.0050
La 0.3900 0.6184 0.0085
La 0.6184 0.3900 0.5085
La 0.6187 0.8744 0.5110
La 0.8744 0.6187 0.0110
Ru 0.4862 0.7797 0.7796
Ru 0.7797 0.4862 0.2796

Question: What is the formula in the second record?
Answer: BaAgAsS4